This entry pairs a crystal structure of Li3BiB2O6 with its simulated X-ray diffraction stick pattern. Radiation: copper Kα. Structure: a GGA-PBE-relaxed structure.

Top 10 peaks for 15° ≤ 2θ ≤ 90°, most intense first:
two_theta	I/Imax
26.03	100
19.17	59
19.05	47
40.89	35
21.05	33
43.13	33
33.24	31
21.33	30
30.63	27
39.93	25

Crystal structure
```
data_Li3BiB2O6
_symmetry_space_group_name_H-M 'P 1'
_symmetry_Int_Tables_number 1
_cell_length_a 5.2448
_cell_length_b 9.0347
_cell_length_c 11.8504
_cell_angle_alpha 90.00
_cell_angle_beta 114.51
_cell_angle_gamma 90.00
loop_
_symmetry_equiv_pos_as_xyz
'x,y,z'
loop_
_atom_site_label
_atom_site_type_symbol
_atom_site_fract_x
_atom_site_fract_y
_atom_site_fract_z
_atom_site_occupancy
Li1 Li 0.1045 0.0292 0.2932 1
Li2 Li 0.1045 0.4708 0.7932 1
Li3 Li 0.1965 0.1771 0.8636 1
Li4 Li 0.1965 0.3229 0.3636 1
Li5 Li 0.2609 0.0034 0.0771 1
Li6 Li 0.2609 0.4966 0.5771 1
Li7 Li 0.7391 0.5034 0.4229 1
Li8 Li 0.7391 0.9966 0.9229 1
Li9 Li 0.8035 0.6771 0.6364 1
Li10 Li 0.8035 0.8229 0.1364 1
Li11 Li 0.8955 0.5292 0.2068 1
Li12 Li 0.8955 0.9708 0.7068 1
Bi1 Bi 0.2912 0.1238 0.6038 1
Bi2 Bi 0.2912 0.3762 0.1038 1
Bi3 Bi 0.7088 0.6238 0.8962 1
Bi4 Bi 0.7088 0.8762 0.3962 1
B1 B 0.2165 0.6811 0.3862 1
B2 B 0.2165 0.8189 0.8862 1
B3 B 0.3526 0.7005 0.1469 1
B4 B 0.3526 0.7995 0.6469 1
B5 B 0.6474 0.2005 0.3531 1
B6 B 0.6474 0.2995 0.8531 1
B7 B 0.7835 0.1811 0.1138 1
B8 B 0.7835 0.3189 0.6138 1
O1 O 0.0713 0.5557 0.3908 1
O2 O 0.0713 0.9443 0.8908 1
O3 O 0.0780 0.6608 0.1212 1
O4 O 0.0780 0.8392 0.6212 1
O5 O 0.0861 0.6818 0.8430 1
O6 O 0.0861 0.8182 0.3430 1
O7 O 0.4587 0.6571 0.6871 1
O8 O 0.4587 0.8429 0.1871 1
O9 O 0.4671 0.1000 0.3693 1
O10 O 0.4671 0.4000 0.8693 1
O11 O 0.4909 0.1704 0.0730 1
O12 O 0.4909 0.3296 0.5730 1
O13 O 0.5091 0.6704 0.4270 1
O14 O 0.5091 0.8296 0.9270 1
O15 O 0.5329 0.6000 0.1307 1
O16 O 0.5329 0.9000 0.6307 1
O17 O 0.5413 0.1571 0.8129 1
O18 O 0.5413 0.3429 0.3129 1
O19 O 0.9139 0.1818 0.6570 1
O20 O 0.9139 0.3182 0.1570 1
O21 O 0.9220 0.1608 0.3788 1
O22 O 0.9220 0.3392 0.8788 1
O23 O 0.9287 0.0557 0.1092 1
O24 O 0.9287 0.4443 0.6092 1
```

=====

This entry pairs a crystal structure of La6Nd2In with its simulated X-ray diffraction stick pattern. Radiation: copper Kα. Structure: a GGA-PBE-relaxed structure.

Top 10 peaks for 15° ≤ 2θ ≤ 90°, most intense first:
two_theta	I/Imax
31.65	100
31.89	89
31.24	88
32.59	66
26.82	44
43.02	40
27.32	27
57.82	25
64.13	24
50.09	23

Crystal structure
```
data_La6Nd2In
_symmetry_space_group_name_H-M 'P 1'
_symmetry_Int_Tables_number 1
_cell_length_a 11.6577
_cell_length_b 11.6577
_cell_length_c 6.5282
_cell_angle_alpha 106.24
_cell_angle_beta 106.24
_cell_angle_gamma 47.59
loop_
_symmetry_equiv_pos_as_xyz
'x,y,z'
loop_
_atom_site_label
_atom_site_type_symbol
_atom_site_fract_x
_atom_site_fract_y
_atom_site_fract_z
_atom_site_occupancy
La1 La 0.0050 0.1487 0.2172 1
La2 La 0.0833 0.5821 0.0830 1
La3 La 0.1487 0.0050 0.7172 1
La4 La 0.3493 0.4963 0.5667 1
La5 La 0.4179 0.9167 0.4170 1
La6 La 0.4963 0.3493 0.0667 1
La7 La 0.5037 0.6507 0.9333 1
La8 La 0.5821 0.0833 0.5830 1
La9 La 0.6507 0.5037 0.4333 1
La10 La 0.8513 0.9950 0.2828 1
La11 La 0.9167 0.4179 0.9170 1
La12 La 0.9950 0.8513 0.7828 1
Nd1 Nd 0.1735 0.3256 0.5891 1
Nd2 Nd 0.3256 0.1735 0.0891 1
Nd3 Nd 0.6744 0.8265 0.9109 1
Nd4 Nd 0.8265 0.6744 0.4109 1
In1 In 0.2512 0.7488 0.2500 1
In2 In 0.7488 0.2512 0.7500 1
```

=====

This entry pairs a crystal structure of Tl3In2Br9 with its simulated X-ray diffraction stick pattern. Radiation: copper Kα. Structure: a GGA-PBE-relaxed structure.

Top 10 peaks for 15° ≤ 2θ ≤ 90°, most intense first:
two_theta	I/Imax
30.09	100
38.47	31
27.08	26
49.77	24
23.15	23
18.96	21
47.33	19
20.88	13
30.29	13
47.65	10

Crystal structure
```
data_Tl3In2Br9
_symmetry_space_group_name_H-M 'P 1'
_symmetry_Int_Tables_number 1
_cell_length_a 10.1188
_cell_length_b 10.1188
_cell_length_c 10.1188
_cell_angle_alpha 82.23
_cell_angle_beta 82.23
_cell_angle_gamma 82.23
loop_
_symmetry_equiv_pos_as_xyz
'x,y,z'
loop_
_atom_site_label
_atom_site_type_symbol
_atom_site_fract_x
_atom_site_fract_y
_atom_site_fract_z
_atom_site_occupancy
Tl1 Tl 0.0471 0.7500 0.4529 1
Tl2 Tl 0.2500 0.5471 0.9529 1
Tl3 Tl 0.4529 0.0471 0.7500 1
Tl4 Tl 0.5471 0.9529 0.2500 1
Tl5 Tl 0.7500 0.4529 0.0471 1
Tl6 Tl 0.9529 0.2500 0.5471 1
In1 In 0.1508 0.1508 0.1508 1
In2 In 0.3492 0.3492 0.3492 1
In3 In 0.6508 0.6508 0.6508 1
In4 In 0.8492 0.8492 0.8492 1
Br1 Br 0.0764 0.9197 0.7238 1
Br2 Br 0.0803 0.2762 0.9236 1
Br3 Br 0.0925 0.4075 0.2500 1
Br4 Br 0.2238 0.4197 0.5764 1
Br5 Br 0.2500 0.0925 0.4075 1
Br6 Br 0.2762 0.9236 0.0803 1
Br7 Br 0.4075 0.2500 0.0925 1
Br8 Br 0.4197 0.5764 0.2238 1
Br9 Br 0.4236 0.7762 0.5803 1
Br10 Br 0.5764 0.2238 0.4197 1
Br11 Br 0.5803 0.4236 0.7762 1
Br12 Br 0.5925 0.7500 0.9075 1
Br13 Br 0.7238 0.0764 0.9197 1
Br14 Br 0.7500 0.9075 0.5925 1
Br15 Br 0.7762 0.5803 0.4236 1
Br16 Br 0.9075 0.5925 0.7500 1
Br17 Br 0.9197 0.7238 0.0764 1
Br18 Br 0.9236 0.0803 0.2762 1
```

=====

This entry pairs a crystal structure of Ca2ReNi with its simulated X-ray diffraction stick pattern. Radiation: copper Kα. Structure: a GGA-PBE-relaxed structure.

Top 10 peaks for 15° ≤ 2θ ≤ 90°, most intense first:
two_theta	I/Imax
21.60	100
17.11	78
30.69	65
39.52	58
32.73	53
41.13	34
49.45	27
40.25	26
58.91	23
55.81	22

Crystal structure
```
data_Ca2ReNi
_symmetry_space_group_name_H-M 'P 1'
_symmetry_Int_Tables_number 1
_cell_length_a 4.1257
_cell_length_b 5.6465
_cell_length_c 5.6465
_cell_angle_alpha 46.75
_cell_angle_beta 90.00
_cell_angle_gamma 90.00
loop_
_symmetry_equiv_pos_as_xyz
'x,y,z'
loop_
_atom_site_label
_atom_site_type_symbol
_atom_site_fract_x
_atom_site_fract_y
_atom_site_fract_z
_atom_site_occupancy
Ca1 Ca 0.0000 0.0000 0.0000 1
Ca2 Ca 0.5000 0.2907 0.2907 1
Re1 Re 0.5000 0.5971 0.5971 1
Ni1 Ni 0.0000 0.6925 0.6925 1
```

=====

This entry pairs a crystal structure of Pm4Sm2ErTh with its simulated X-ray diffraction stick pattern. Radiation: copper Kα. Structure: a GGA-PBE-relaxed structure.

Top 10 peaks for 15° ≤ 2θ ≤ 90°, most intense first:
two_theta	I/Imax
32.24	100
29.48	63
54.06	47
42.18	24
59.16	18
67.47	12
69.35	11
70.85	10
86.02	10
61.17	8

Crystal structure
```
data_Pm4Sm2ErTh
_symmetry_space_group_name_H-M 'P 1'
_symmetry_Int_Tables_number 1
_cell_length_a 6.0576
_cell_length_b 6.0628
_cell_length_c 7.2900
_cell_angle_alpha 90.00
_cell_angle_beta 90.07
_cell_angle_gamma 90.00
loop_
_symmetry_equiv_pos_as_xyz
'x,y,z'
loop_
_atom_site_label
_atom_site_type_symbol
_atom_site_fract_x
_atom_site_fract_y
_atom_site_fract_z
_atom_site_occupancy
Pm1 Pm 0.9998 0.0000 0.2472 1
Pm2 Pm 0.0002 0.0000 0.7528 1
Pm3 Pm 0.4999 0.5000 0.2467 1
Pm4 Pm 0.5001 0.5000 0.7533 1
Sm1 Sm 0.0000 0.5000 0.0000 1
Sm2 Sm 0.5000 0.0000 0.5000 1
Er1 Er 0.0000 0.5000 0.5000 1
Th1 Th 0.5000 0.0000 0.0000 1
```

=====

This entry pairs a crystal structure of NaTe2Au2 with its simulated X-ray diffraction stick pattern. Radiation: copper Kα. Structure: a GGA-PBE-relaxed structure.

Top 10 peaks for 15° ≤ 2θ ≤ 90°, most intense first:
two_theta	I/Imax
30.83	100
16.39	83
36.51	59
30.27	59
20.85	32
46.46	30
45.81	28
22.76	27
47.88	24
41.06	21

Crystal structure
```
data_NaTe2Au2
_symmetry_space_group_name_H-M 'P 1'
_symmetry_Int_Tables_number 1
_cell_length_a 8.0556
_cell_length_b 8.0556
_cell_length_c 6.1346
_cell_angle_alpha 104.04
_cell_angle_beta 104.04
_cell_angle_gamma 113.51
loop_
_symmetry_equiv_pos_as_xyz
'x,y,z'
loop_
_atom_site_label
_atom_site_type_symbol
_atom_site_fract_x
_atom_site_fract_y
_atom_site_fract_z
_atom_site_occupancy
Na1 Na 0.1073 0.8927 0.7500 1
Na2 Na 0.8927 0.1073 0.2500 1
Te1 Te 0.1971 0.8029 0.2500 1
Te2 Te 0.4554 0.5446 0.7500 1
Te3 Te 0.5446 0.4554 0.2500 1
Te4 Te 0.8029 0.1971 0.7500 1
Au1 Au 0.1805 0.3346 0.9609 1
Au2 Au 0.3346 0.1805 0.4609 1
Au3 Au 0.6654 0.8195 0.5391 1
Au4 Au 0.8195 0.6654 0.0391 1
```

=====

This entry pairs a crystal structure of Mg17Al11Zn with its simulated X-ray diffraction stick pattern. Radiation: copper Kα. Structure: a GGA-PBE-relaxed structure.

Top 10 peaks for 15° ≤ 2θ ≤ 90°, most intense first:
two_theta	I/Imax
36.28	100
40.26	28
65.29	18
43.94	16
42.14	11
65.21	9
20.71	7
34.14	7
77.04	6
40.31	5

Crystal structure
```
data_Mg17Al11Zn
_symmetry_space_group_name_H-M 'P 1'
_symmetry_Int_Tables_number 1
_cell_length_a 9.0899
_cell_length_b 9.0899
_cell_length_c 9.1028
_cell_angle_alpha 109.45
_cell_angle_beta 109.45
_cell_angle_gamma 109.42
loop_
_symmetry_equiv_pos_as_xyz
'x,y,z'
loop_
_atom_site_label
_atom_site_type_symbol
_atom_site_fract_x
_atom_site_fract_y
_atom_site_fract_z
_atom_site_occupancy
Mg1 Mg 0.0000 0.0000 0.0000 1
Mg2 Mg 0.0227 0.0227 0.6248 1
Mg3 Mg 0.0260 0.6269 0.0242 1
Mg4 Mg 0.0532 0.7407 0.7378 1
Mg5 Mg 0.3396 0.3396 0.6848 1
Mg6 Mg 0.3413 0.9420 0.6563 1
Mg7 Mg 0.3417 0.6577 0.9404 1
Mg8 Mg 0.3432 0.3432 0.3427 1
Mg9 Mg 0.3429 0.6861 0.3412 1
Mg10 Mg 0.6269 0.0260 0.0242 1
Mg11 Mg 0.6570 0.9413 0.3400 1
Mg12 Mg 0.6577 0.3417 0.9404 1
Mg13 Mg 0.6861 0.3429 0.3412 1
Mg14 Mg 0.7401 0.7401 0.0538 1
Mg15 Mg 0.7407 0.0532 0.7378 1
Mg16 Mg 0.9413 0.6570 0.3400 1
Mg17 Mg 0.9420 0.3413 0.6563 1
Al1 Al 0.1561 0.9749 0.3403 1
Al2 Al 0.1576 0.3424 0.9748 1
Al3 Al 0.1610 0.5266 0.5258 1
Al4 Al 0.3414 0.9756 0.1554 1
Al5 Al 0.3424 0.1576 0.9748 1
Al6 Al 0.5238 0.7072 0.7052 1
Al7 Al 0.5266 0.1610 0.5258 1
Al8 Al 0.5294 0.5294 0.1635 1
Al9 Al 0.7072 0.5238 0.7052 1
Al10 Al 0.9749 0.1561 0.3403 1
Al11 Al 0.9756 0.3414 0.1554 1
Zn1 Zn 0.7079 0.7079 0.5199 1
```

=====

This entry pairs a crystal structure of Rh3AuF with its simulated X-ray diffraction stick pattern. Radiation: copper Kα. Structure: a GGA-PBE-relaxed structure.

Top 10 peaks for 15° ≤ 2θ ≤ 90°, most intense first:
two_theta	I/Imax
36.33	100
42.19	57
73.30	39
61.20	37
29.49	13
77.14	13
20.74	6
52.32	5
47.46	3
84.66	3

Crystal structure
```
data_Rh3AuF
_symmetry_space_group_name_H-M 'P 1'
_symmetry_Int_Tables_number 1
_cell_length_a 4.2835
_cell_length_b 4.2835
_cell_length_c 4.2835
_cell_angle_alpha 90.00
_cell_angle_beta 90.00
_cell_angle_gamma 90.00
loop_
_symmetry_equiv_pos_as_xyz
'x,y,z'
loop_
_atom_site_label
_atom_site_type_symbol
_atom_site_fract_x
_atom_site_fract_y
_atom_site_fract_z
_atom_site_occupancy
Rh1 Rh 0.0000 0.0000 0.5000 1
Rh2 Rh 0.0000 0.5000 0.0000 1
Rh3 Rh 0.5000 0.0000 0.0000 1
Au1 Au 0.5000 0.5000 0.5000 1
F1 F 0.0000 0.0000 0.0000 1
```

=====

This entry pairs a crystal structure of Ca3Mg with its simulated X-ray diffraction stick pattern. Radiation: copper Kα. Structure: a GGA-PBE-relaxed structure.

Top 10 peaks for 15° ≤ 2θ ≤ 90°, most intense first:
two_theta	I/Imax
29.44	100
33.88	34
57.90	25
49.21	21
34.62	16
58.88	12
48.66	11
61.09	11
79.79	9
78.94	5

Crystal structure
```
data_Ca3Mg
_symmetry_space_group_name_H-M 'P 1'
_symmetry_Int_Tables_number 1
_cell_length_a 11.0203
_cell_length_b 11.0203
_cell_length_c 11.0203
_cell_angle_alpha 152.21
_cell_angle_beta 152.21
_cell_angle_gamma 39.70
loop_
_symmetry_equiv_pos_as_xyz
'x,y,z'
loop_
_atom_site_label
_atom_site_type_symbol
_atom_site_fract_x
_atom_site_fract_y
_atom_site_fract_z
_atom_site_occupancy
Ca1 Ca 0.0000 0.5000 0.5000 1
Ca2 Ca 0.1234 0.1234 0.0000 1
Ca3 Ca 0.2500 0.7500 0.5000 1
Ca4 Ca 0.5000 0.0000 0.5000 1
Ca5 Ca 0.7500 0.2500 0.5000 1
Ca6 Ca 0.8766 0.8766 0.0000 1
Mg1 Mg 0.3723 0.3723 0.0000 1
Mg2 Mg 0.6277 0.6277 0.0000 1
```